The following is a calculated powder X-ray diffraction pattern of NpMnPb2Se5. It was derived from a cell relaxed with GGA-PBE, using copper Kα.
Lines closer than 0.1° are merged.

Crystal structure
abc: 4.1825 17.9552 13.3208
angles: 90.00 90.00 90.00
Space group Cmc2_1 (No. 36)
Asymmetric unit:
Np: 0.0000 0.2077 0.0000 x4
Mn: 0.0000 0.4404 0.4104 x4
Pb: 0.0000 0.1088 0.6272 x4
Pb: 0.0000 0.1151 0.2792 x4
Se: 0.0000 0.0507 0.0163 x4
Se: 0.0000 0.2824 0.6446 x4
Se: 0.0000 0.3072 0.3569 x4
Se: 0.0000 0.3645 0.9720 x4
Se: 0.0000 0.4994 0.7445 x4

Largest 12 diffraction maxima, sorted by position, 2θ from 5° to 70°:
(hkl)  two_theta  I_rel
0 2 2  16.6  193
0 2 3  22.3  392
1 1 2  25.6  130
0 0 4  26.8  170
1 1 3  29.8  1000
0 6 1  30.6  493
1 5 2  35.6  497
1 1 5  40.5  141
2 0 0  43.3  264
0 4 6  45.6  147
1 7 4  49.9  149
2 6 1  53.9  201